Diffraction record for Tl2SnHg5Au. The XRD peak list is computed, not measured: it uses a DFT-relaxed cell (PBE, Alexandria) and Cu Kα X-rays.
Kinematic intensities with the Lorentz-polarization factor, no thermal factor.

Atomic structure:
Unit cell a=7.235 b=7.235 c=9.728 alpha=90.00 beta=90.00 gamma=90.00
Space group I4mm (No. 107)
One atom of each set of equivalent atoms:
Tl (0.000, 0.500, 0.000) x4
Sn (0.000, 0.000, 0.434) x2
Hg (0.000, 0.000, 0.009) x2
Hg (0.231, 0.231, 0.247) x8
Au (0.000, 0.000, 0.712) x2

Top 10 peaks for 10° ≤ 2θ ≤ 80°, sorted by position:
d 3.525, intensity 9, (1 1 2); d 2.903, intensity 100, (2 0 2); d 2.558, intensity 61, (2 2 0); d 2.432, intensity 22, (0 0 4); d 2.290, intensity 16, (2 1 3); d 1.809, intensity 21, (4 0 0); d 1.763, intensity 32, (2 2 4); d 1.535, intensity 27, (4 2 2); d 1.480, intensity 13, (2 0 6); d 1.451, intensity 16, (4 0 4)

Diffraction record for NdPu2Cd6. The XRD peak list is computed, not measured: it uses a DFT-relaxed cell (PBE, Alexandria) and Cu Kα X-rays.
Kinematic intensities with the Lorentz-polarization factor, no thermal factor.

Atomic structure:
Unit cell a=8.9005 b=8.9005 c=9.7336 alpha=90.00 beta=90.00 gamma=120.00
Space group R-3m (No. 166, hexagonal axes)
One atom of each set of equivalent atoms:
Nd (0.0000, 0.0000, 0.0000) x3
Pu (0.0000, 0.0000, 0.3406) x6
Cd (0.9996, 0.3329, 0.1667) x18

Top 10 peaks for 10° ≤ 2θ ≤ 80°, sorted by position:
d 6.043, intensity 4, (1 0 1); d 4.450, intensity 14, (1 1 0); d 2.622, intensity 100, (1 1 3); d 2.569, intensity 88, (3 0 0); d 1.835, intensity 35, (2 2 3); d 1.622, intensity 7, (0 0 6); d 1.493, intensity 35, (4 1 3); d 1.483, intensity 16, (3 3 0); d 1.372, intensity 24, (3 0 6); d 1.285, intensity 10, (6 0 0)

Diffraction record for Sr2Cu5Ge3. The XRD peak list is computed, not measured: it uses a DFT-relaxed cell (PBE, Alexandria) and Cu Kα X-rays.
Kinematic intensities with the Lorentz-polarization factor, no thermal factor.

Atomic structure:
Unit cell a=10.123 b=11.948 c=6.165 alpha=90.00 beta=90.00 gamma=90.00
Space group Ibam (No. 72)
One atom of each set of equivalent atoms:
Sr (0.244, 0.125, 0.000) x8
Cu (0.000, 0.000, 0.250) x4
Cu (0.000, 0.254, 0.250) x8
Cu (0.132, 0.382, 0.000) x8
Ge (0.000, 0.500, 0.250) x4
Ge (0.123, 0.129, 0.500) x8

Top 10 peaks for 10° ≤ 2θ ≤ 80°, sorted by position:
d 2.652, intensity 92, (3 2 1); d 2.633, intensity 72, (2 0 2); d 2.572, intensity 67, (2 4 0); d 2.145, intensity 100, (0 4 2); d 1.956, intensity 21, (4 0 2); d 1.931, intensity 20, (4 4 0); d 1.831, intensity 33, (5 2 1); d 1.684, intensity 23, (3 2 3); d 1.652, intensity 21, (3 6 1); d 1.541, intensity 17, (0 0 4)

Diffraction record for Pu3CoS6. The XRD peak list is computed, not measured: it uses a DFT-relaxed cell (PBE, Alexandria) and Cu Kα X-rays.
Kinematic intensities with the Lorentz-polarization factor, no thermal factor.

Atomic structure:
Unit cell a=11.5625 b=11.5625 c=10.8939 alpha=90.00 beta=90.00 gamma=120.00
Space group R-3 (No. 148, hexagonal axes)
One atom of each set of equivalent atoms:
Pu (0.0507, 0.7747, 0.1571) x18
Co (0.0000, 0.0000, 0.0000) x3
Co (0.0000, 0.0000, 0.5000) x3
S (0.0331, 0.8304, 0.8969) x18
S (0.0521, 0.8599, 0.3911) x18

Top 10 peaks for 10° ≤ 2θ ≤ 80°, sorted by position:
d 5.781, intensity 18, (1 1 0); d 3.631, intensity 39, (0 0 3); d 3.575, intensity 100, (3 -1 1); d 3.108, intensity 46, (1 2 2); d 3.075, intensity 20, (1 1 3); d 2.691, intensity 18, (4 -3 1); d 2.211, intensity 44, (3 -1 4); d 2.185, intensity 29, (4 1 0); d 1.888, intensity 18, (1 2 5); d 1.872, intensity 21, (4 1 3)